# MnBi2IrO8
Theoretical powder diffractogram, Cu Kα. Input: a DFT-relaxed cell (GGA+U, Alexandria).
No peak broadening, texture or thermal motion is included.

Most intense lines, 15 to 90 degrees two-theta, in order of rising 2θ:
- 18.3 deg, I = 11
- 22.5 deg, I = 13
- 25.7 deg, I = 55
- 26.3 deg, I = 48
- 32.0 deg, I = 100
- 37.1 deg, I = 28
- 49.4 deg, I = 40
- 50.1 deg, I = 35
- 60.3 deg, I = 10
- 60.6 deg, I = 10
- 63.6 deg, I = 21
- 66.9 deg, I = 11

Structure:
a = 4.8497 Å, b = 6.8420 Å, c = 4.8558 Å
α = 90.00°, β = 91.35°, γ = 90.00°
Space group P2/m (No. 10)
Symmetry-distinct sites (fractional):
Mn: 0.0000 0.0000 0.0000 (multiplicity 1)
Bi: 0.5000 0.2478 0.5000 (multiplicity 2)
Ir: 0.0000 0.5000 0.0000 (multiplicity 1)
O: 0.1802 0.2668 0.8274 (multiplicity 4)
O: 0.2772 0.5000 0.2874 (multiplicity 2)
O: 0.2866 0.0000 0.2914 (multiplicity 2)